Pm6Ru2Au: computed X-ray diffraction stick pattern (a wavelength of 1.5418 Å), based on a structure optimized by DFT (GGA-PBE).
Lines closer than 0.1° are merged.

```
data_Pm6Ru2Au
_cell_length_a 5.1024
_cell_length_b 13.1270
_cell_length_c 15.0556
_cell_angle_alpha 90.00
_cell_angle_beta 90.00
_cell_angle_gamma 90.00
_space_group_name_H-M_alt 'F m m m'
_space_group_IT_number 69
_space_group_name_Hall '-F 2 2'
loop_
_atom_site_label
_atom_site_type_symbol
_atom_site_fract_x
_atom_site_fract_y
_atom_site_fract_z
Pm1 Pm 0.0000 0.1275 0.1736
Pm2 Pm 0.0000 0.1314 0.5000
Ru1 Ru 0.0000 0.0000 0.3370
Au1 Au 0.0000 0.0000 0.0000
```

Principal peaks in the range 2θ = 10–90°, in order of rising 2θ:
2θ (°)  I_rel  index
13.49  23  0 2 0
32.32  100  1 3 3
35.18  29  2 0 0
35.78  27  0 0 6
42.72  36  1 5 3
51.05  19  2 0 6
61.33  16  3 3 3
62.13  14  1 3 9
67.92  8  2 8 0
68.31  17  0 8 6
69.08  8  1 5 9
79.22  10  2 8 6